For La2Mn2O5, a PBE+U-relaxed structure gives the theoretical X-ray powder pattern in this record (Cu Kα (λ = 1.5418 Å)).
Peak positions follow from Bragg's law for the DFT cell and can differ from measured ones.

Top 12 peaks for 15 to 90 degrees two-theta, in order of rising 2θ:
- 3.986 Å, intensity 412, (1 1 -1)
- 3.551 Å, intensity 169, (3 1 -1)
- 2.880 Å, intensity 607, (0 2 0)
- 2.870 Å, intensity 1000, (3 1 1)
- 2.817 Å, intensity 748, (5 1 -1)
- 2.761 Å, intensity 548, (2 0 -2)
- 2.348 Å, intensity 177, (4 2 0)
- 2.218 Å, intensity 237, (7 1 -1)
- 2.028 Å, intensity 222, (8 0 0)
- 1.993 Å, intensity 458, (2 2 -2)
- 1.660 Å, intensity 375, (3 3 1)
- 1.624 Å, intensity 225, (1 1 3)

Cell and atoms:
Cell lengths 17.0065, 5.7600, 5.5240 Å; angles 90.00, 107.45, 90.00 degrees
Space group Cc (No. 9)
Asymmetric unit:
1 La 0.0000 0.2333 0.0000
2 La 0.2812 0.2341 0.2111
3 Mn 0.1420 0.2992 0.5661
4 Mn 0.3910 0.2498 0.8592
5 O 0.0253 0.1706 0.4773
6 O 0.1423 0.3538 0.1830
7 O 0.2554 0.1698 0.7538
8 O 0.3718 0.4622 0.5511
9 O 0.4106 0.0344 0.1642